The following is a theoretical powder X-ray diffraction pattern of PrDyUO6. It was derived from a crystal structure in Alexandria, relaxed with GGA-PBE, using Cu Kα, 1.54184 Å.
Lines closer than 0.1° are merged.

Atomic structure:
Unit cell a=5.8344 b=5.8344 c=9.7830 alpha=90.00 beta=90.00 gamma=120.00
Fractional positions:
Pr (0.0000, 0.0000, 0.0000)
Pr (0.0000, 0.0000, 0.5000)
Dy (0.3333, 0.6667, 0.2500)
Dy (0.6667, 0.3333, 0.7500)
U (0.3333, 0.6667, 0.7500)
U (0.6667, 0.3333, 0.2500)
O (0.0228, 0.3637, 0.6378)
O (0.0228, 0.6591, 0.8622)
O (0.3409, 0.3637, 0.8622)
O (0.3409, 0.9772, 0.6378)
O (0.3637, 0.0228, 0.1378)
O (0.3637, 0.3409, 0.3622)
O (0.6363, 0.6591, 0.6378)
O (0.6363, 0.9772, 0.8622)
O (0.6591, 0.0228, 0.3622)
O (0.6591, 0.6363, 0.1378)
O (0.9772, 0.3409, 0.1378)
O (0.9772, 0.6363, 0.3622)

Largest 10 diffraction maxima, in order of falling intensity, 2θ = 10–90°:
two_theta	d/Å	I (rel.)
25.3	3.514	100
30.6	2.917	62
48.6	1.874	51
51.4	1.779	29
40.2	2.245	29
35.8	2.505	23
18.1	4.891	22
54.5	1.684	20
86.2	1.128	15
76.0	1.253	14